[1]
Cs2PtF6: computed powder X-ray diffraction pattern (λ = 1.5418 Å (Cu Kα)), based on a cell relaxed with GGA-PBE.
Intensities are scaled so that the largest is 100.

Principal peaks in the range 10° ≤ 2θ ≤ 90°, low angle first:
2θ (°), I (rel.)
16.60, 59
27.27, 100
32.09, 25
33.56, 7
38.95, 34
42.61, 8
48.20, 40
51.33, 13
56.26, 21
59.09, 12
63.62, 21
77.17, 23

Crystal structure
Lattice parameters (Å, degrees): 6.540 6.540 6.540 60.00 60.00 60.00
Positions (direct):
Cs (0.250, 0.250, 0.250)
Cs (0.750, 0.750, 0.750)
Pt (0.000, 0.000, 0.000)
F (0.214, 0.214, 0.786)
F (0.214, 0.786, 0.214)
F (0.214, 0.786, 0.786)
F (0.786, 0.214, 0.214)
F (0.786, 0.214, 0.786)
F (0.786, 0.786, 0.214)

=====

[2]
Tm2IrPt: computed powder X-ray diffraction pattern (λ = 1.5418 Å (Cu Kα)), based on a cell relaxed with GGA-PBE.
Intensities are scaled so that the largest is 100.

Principal peaks in the range 10° ≤ 2θ ≤ 90°, low angle first:
2θ (°), I (rel.)
37.21, 100
53.64, 18
67.09, 36
79.30, 11

Crystal structure
Lattice parameters (Å, degrees): 4.833 4.833 4.833 60.00 60.00 60.00
Positions (direct):
Tm (0.250, 0.250, 0.250)
Tm (0.750, 0.750, 0.750)
Ir (0.000, 0.000, 0.000)
Pt (0.500, 0.500, 0.500)

=====

[3]
BaSrGdBiO6: computed powder X-ray diffraction pattern (λ = 1.5418 Å (Cu Kα)), based on a cell relaxed with GGA-PBE.
Intensities are scaled so that the largest is 100.

Principal peaks in the range 10° ≤ 2θ ≤ 90°, low angle first:
2θ (°), I (rel.)
17.62, 3
20.37, 12
28.97, 100
34.11, 2
41.43, 29
46.59, 6
51.34, 42
60.03, 19
64.09, 3
68.01, 19
75.56, 6
82.86, 22

Crystal structure
Lattice parameters (Å, degrees): 6.165 6.165 6.165 60.00 60.00 60.00
Positions (direct):
Ba (0.000, 0.000, 0.000)
Sr (0.500, 0.500, 0.500)
Gd (0.750, 0.750, 0.750)
Bi (0.250, 0.250, 0.250)
O (0.007, 0.007, 0.493)
O (0.007, 0.493, 0.007)
O (0.007, 0.493, 0.493)
O (0.493, 0.007, 0.007)
O (0.493, 0.007, 0.493)
O (0.493, 0.493, 0.007)